(1)
Computed powder X-ray diffraction pattern
Compound: Na5I2ClO
Radiation: Cu Kα, 1.54184 Å
Structure: a cell relaxed with GGA-PBE
No peak broadening, texture or thermal motion is included.

Most intense lines, 10 to 90 degrees two-theta, most intense first:
26.2°, intensity 100
23.3°, intensity 42
35.1°, intensity 39
11.9°, intensity 38
36.0°, intensity 36
32.8°, intensity 22
53.9°, intensity 21
25.4°, intensity 21
39.6°, intensity 21
21.9°, intensity 21

Atomic structure:
```
data_Na5I2ClO
_chemical_formula_sum 'Na10 I4 Cl2 O2'
_cell_length_a 4.554
_cell_length_b 7.023
_cell_length_c 14.893
_cell_angle_alpha 90.00
_cell_angle_beta 90.00
_cell_angle_gamma 90.00
_space_group_name_H-M_alt 'I m m m'
_space_group_IT_number 71
_space_group_name_Hall '-I 2 2'
loop_
_atom_site_label
_atom_site_fract_x
_atom_site_fract_y
_atom_site_fract_z
_atom_site_occupancy
Na1 0.000 0.000 0.000 1
Na2 0.000 0.268 0.391 1
I1 0.000 0.000 0.219 1
Cl1 0.000 0.500 0.000 1
O1 0.000 0.500 0.500 1
```

---

(2)
Computed powder X-ray diffraction pattern
Compound: AcH6Pd
Radiation: Cu Kα, 1.54184 Å
Structure: a cell relaxed with GGA-PBE
No peak broadening, texture or thermal motion is included.

Most intense lines, 10 to 90 degrees two-theta, most intense first:
26.1°, intensity 100
36.7°, intensity 42
37.8°, intensity 38
46.5°, intensity 22
60.0°, intensity 21
61.4°, intensity 19
22.8°, intensity 15
67.6°, intensity 14
53.7°, intensity 14
85.4°, intensity 9

Atomic structure:
```
data_AcH6Pd
_chemical_formula_sum 'Ac3 H18 Pd3'
_cell_length_a 4.7594
_cell_length_b 4.7594
_cell_length_c 12.1569
_cell_angle_alpha 90.00
_cell_angle_beta 90.00
_cell_angle_gamma 120.00
_space_group_name_H-M_alt 'R -3 m'
_space_group_IT_number 166
_space_group_name_Hall '-R 3 2"'
loop_
_atom_site_label
_atom_site_fract_x
_atom_site_fract_y
_atom_site_fract_z
_atom_site_occupancy
Ac1 0.0000 0.0000 0.0000 1
H1 0.0148 0.5074 0.9076 1
Pd1 0.0000 0.0000 0.5000 1
```

---

(3)
Computed powder X-ray diffraction pattern
Compound: Li2Tb3Ag5
Radiation: Cu Kα, 1.54184 Å
Structure: a cell relaxed with GGA-PBE
No peak broadening, texture or thermal motion is included.

Most intense lines, 10 to 90 degrees two-theta, most intense first:
35.8°, intensity 100
29.9°, intensity 43
33.6°, intensity 32
39.0°, intensity 31
62.3°, intensity 17
60.0°, intensity 17
46.4°, intensity 16
57.1°, intensity 11
68.6°, intensity 11
34.8°, intensity 9

Atomic structure:
```
data_Li2Tb3Ag5
_chemical_formula_sum 'Li4 Tb6 Ag10'
_cell_length_a 10.322
_cell_length_b 10.322
_cell_length_c 3.913
_cell_angle_alpha 90.00
_cell_angle_beta 90.00
_cell_angle_gamma 90.00
_space_group_name_H-M_alt 'P 4/m b m'
_space_group_IT_number 127
_space_group_name_Hall '-P 4 2ab'
loop_
_atom_site_label
_atom_site_fract_x
_atom_site_fract_y
_atom_site_fract_z
_atom_site_occupancy
Li1 0.116 0.384 0.000 1
Tb1 0.000 0.000 0.000 1
Tb2 0.180 0.680 0.000 1
Ag1 0.000 0.500 0.500 1
Ag2 0.061 0.217 0.500 1
```